This entry pairs a crystal structure of La3CrWS3O6 with its calculated X-ray powder pattern. Radiation: Cu Kα X-rays. Structure: a cell relaxed with PBE+U.
Neutral-atom scattering factors, no anomalous dispersion.

Peak list (8 most intense, 2θ = 5–70°, in order of rising 2θ)
2theta, d/Å, I_rel, index
24.5, 3.635, 55, 1 1 1
26.8, 3.325, 55, 2 0 1
28.7, 3.112, 29, 1 2 0
31.7, 2.821, 24, 0 0 2
32.6, 2.744, 24, 3 0 0
32.9, 2.725, 100, 2 1 1
43.3, 2.090, 38, 2 1 2
51.0, 1.791, 29, 2 3 1

Atomic structure:
Unit cell a=9.5061 b=9.5061 c=5.6414 alpha=90.00 beta=90.00 gamma=120.00
Positions (direct):
La  0.0869  0.4076  0.2500
La  0.3207  0.9131  0.2500
La  0.4076  0.3207  0.7500
La  0.5924  0.6793  0.2500
La  0.6793  0.0869  0.7500
La  0.9131  0.5924  0.7500
Cr  0.0000  0.0000  0.0000
Cr  0.0000  0.0000  0.5000
W  0.3333  0.6667  0.7500
W  0.6667  0.3333  0.2500
S  0.0438  0.2261  0.7500
S  0.1823  0.9562  0.7500
S  0.2261  0.1823  0.2500
S  0.7739  0.8177  0.7500
S  0.8177  0.0438  0.2500
S  0.9562  0.7739  0.2500
O  0.1604  0.6328  0.5254
O  0.1604  0.6328  0.9746
O  0.3672  0.5277  0.5254
O  0.3672  0.5277  0.9746
O  0.4723  0.8396  0.5254
O  0.4723  0.8396  0.9746
O  0.5277  0.1604  0.0254
O  0.5277  0.1604  0.4746
O  0.6328  0.4723  0.0254
O  0.6328  0.4723  0.4746
O  0.8396  0.3672  0.0254
O  0.8396  0.3672  0.4746